Record 1
# CrAgSe2
Calculated X-ray diffraction stick pattern, Cu Kα, 1.54184 Å. Input: a cell relaxed with GGA-PBE.

Structure:
```
data_CrAgSe2
_cell_length_a 3.5857
_cell_length_b 3.5857
_cell_length_c 22.8578
_cell_angle_alpha 90.00
_cell_angle_beta 90.00
_cell_angle_gamma 120.00
_space_group_name_H-M_alt 'R 3 m'
_space_group_IT_number 160
_space_group_name_Hall 'R 3 -2"'
loop_
_atom_site_label
_atom_site_type_symbol
_atom_site_fract_x
_atom_site_fract_y
_atom_site_fract_z
Cr1 Cr 0.0000 0.0000 0.0000
Ag1 Ag 0.0000 0.0000 0.5095
Se1 Se 0.0000 0.0000 0.2632
Se2 Se 0.0000 0.0000 0.3969
```

Top 6 peaks for 5° ≤ 2θ ≤ 70°, in order of falling intensity:
2θ 43.0, intensity 100, (0 1 8); 2θ 29.0, intensity 100, (1 0 1); 2θ 32.8, intensity 68, (1 0 4); 2θ 50.9, intensity 68, (1 1 0); 2θ 29.8, intensity 53, (0 1 2); 2θ 40.1, intensity 48, (1 0 7)

Record 2
# Ba2PdN2
Calculated X-ray diffraction stick pattern, Cu Kα, 1.54184 Å. Input: a cell relaxed with GGA-PBE.

Structure:
```
data_Ba2PdN2
_cell_length_a 4.1556
_cell_length_b 4.1556
_cell_length_c 13.3623
_cell_angle_alpha 90.00
_cell_angle_beta 90.00
_cell_angle_gamma 90.00
_space_group_name_H-M_alt 'I 4/m m m'
_space_group_IT_number 139
_space_group_name_Hall '-I 4 2'
loop_
_atom_site_label
_atom_site_type_symbol
_atom_site_fract_x
_atom_site_fract_y
_atom_site_fract_z
Ba1 Ba 0.0000 0.0000 0.1459
Pd1 Pd 0.0000 0.0000 0.5000
N1 N 0.0000 0.0000 0.3548
```

Top 6 peaks for 5° ≤ 2θ ≤ 70°, in order of falling intensity:
2θ 29.4, intensity 100, (1 0 3); 2θ 30.4, intensity 69, (1 1 0); 2θ 53.4, intensity 38, (2 1 3); 2θ 43.6, intensity 25, (2 0 0); 2θ 51.5, intensity 19, (1 1 6); 2θ 61.0, intensity 11, (2 0 6)

Record 3
# Tm3Th
Calculated X-ray diffraction stick pattern, Cu Kα, 1.54184 Å. Input: a cell relaxed with GGA-PBE.

Structure:
```
data_Tm3Th
_cell_length_a 5.0064
_cell_length_b 5.0064
_cell_length_c 9.8818
_cell_angle_alpha 90.00
_cell_angle_beta 90.00
_cell_angle_gamma 90.00
_space_group_name_H-M_alt 'I 4/m m m'
_space_group_IT_number 139
_space_group_name_Hall '-I 4 2'
loop_
_atom_site_label
_atom_site_type_symbol
_atom_site_fract_x
_atom_site_fract_y
_atom_site_fract_z
Tm1 Tm 0.0000 0.0000 0.0000
Tm2 Tm 0.0000 0.5000 0.2500
Th1 Th 0.0000 0.0000 0.5000
```

Top 6 peaks for 5° ≤ 2θ ≤ 70°, in order of falling intensity:
2θ 31.1, intensity 100, (1 1 2); 2θ 35.9, intensity 34, (2 0 0); 2θ 61.5, intensity 29, (3 1 2); 2θ 52.0, intensity 24, (2 0 4); 2θ 36.4, intensity 17, (0 0 4); 2θ 62.2, intensity 14, (1 1 6)

Record 4
# NaNbO2F2
Calculated X-ray diffraction stick pattern, Cu Kα, 1.54184 Å. Input: a cell relaxed with GGA-PBE.

Structure:
```
data_NaNbO2F2
_cell_length_a 8.2034
_cell_length_b 5.4968
_cell_length_c 7.7531
_cell_angle_alpha 90.00
_cell_angle_beta 102.30
_cell_angle_gamma 90.00
_space_group_name_H-M_alt 'P 1 21/c 1'
_space_group_IT_number 14
_space_group_name_Hall '-P 2ybc'
loop_
_atom_site_label
_atom_site_type_symbol
_atom_site_fract_x
_atom_site_fract_y
_atom_site_fract_z
Na1 Na 0.1331 0.2225 0.3807
Nb1 Nb 0.3450 0.7339 0.1800
O1 O 0.3225 0.6538 0.9457
O2 O 0.4639 0.0555 0.7897
F1 F 0.1262 0.5477 0.1879
F2 F 0.1834 0.0210 0.1223
```

Top 6 peaks for 5° ≤ 2θ ≤ 70°, in order of falling intensity:
2θ 27.5, intensity 100, (2 1 0); 2θ 19.6, intensity 95, (1 1 0); 2θ 28.6, intensity 57, (0 1 2); 2θ 11.0, intensity 49, (1 0 0); 2θ 23.7, intensity 48, (1 0 -2); 2θ 32.6, intensity 33, (0 2 0)

Record 5
# Ca2TaSbO6
Calculated X-ray diffraction stick pattern, Cu Kα, 1.54184 Å. Input: a cell relaxed with GGA-PBE.

Structure:
```
data_Ca2TaSbO6
_cell_length_a 5.7193
_cell_length_b 8.0361
_cell_length_c 5.9235
_cell_angle_alpha 90.00
_cell_angle_beta 90.96
_cell_angle_gamma 90.00
_space_group_name_H-M_alt 'P 1 21/m 1'
_space_group_IT_number 11
_space_group_name_Hall '-P 2yb'
loop_
_atom_site_label
_atom_site_type_symbol
_atom_site_fract_x
_atom_site_fract_y
_atom_site_fract_z
Ca1 Ca 0.0053 0.2500 0.4433
Ca2 Ca 0.4894 0.2500 0.9480
Ta1 Ta 0.5000 0.0000 0.5000
Sb1 Sb 0.0000 0.0000 0.0000
O1 O 0.1288 0.7500 0.9405
O2 O 0.2119 0.0572 0.6681
O3 O 0.3354 0.0570 0.2114
O4 O 0.3983 0.7500 0.4591
```

Top 6 peaks for 5° ≤ 2θ ≤ 70°, in order of falling intensity:
2θ 31.3, intensity 100, (1 2 1); 2θ 31.0, intensity 71, (1 2 -1); 2θ 21.8, intensity 39, (1 0 1); 2θ 21.4, intensity 38, (1 0 -1); 2θ 30.2, intensity 37, (0 0 2); 2θ 22.1, intensity 35, (0 2 0)

Record 6
# ReSn3
Calculated X-ray diffraction stick pattern, Cu Kα, 1.54184 Å. Input: a cell relaxed with GGA-PBE.

Structure:
```
data_ReSn3
_cell_length_a 7.0362
_cell_length_b 7.0362
_cell_length_c 7.0362
_cell_angle_alpha 90.00
_cell_angle_beta 90.00
_cell_angle_gamma 90.00
_space_group_name_H-M_alt 'F m -3 m'
_space_group_IT_number 225
_space_group_name_Hall '-F 4 2 3'
loop_
_atom_site_label
_atom_site_type_symbol
_atom_site_fract_x
_atom_site_fract_y
_atom_site_fract_z
Re1 Re 0.0000 0.0000 0.0000
Sn1 Sn 0.0000 0.0000 0.5000
Sn2 Sn 0.2500 0.2500 0.2500
```

Top 6 peaks for 5° ≤ 2θ ≤ 70°, in order of falling intensity:
2θ 36.1, intensity 100, (2 2 0); 2θ 64.9, intensity 38, (4 2 2); 2θ 52.0, intensity 18, (4 0 0); 2θ 21.9, intensity 3, (1 1 1); 2θ 25.3, intensity 2, (2 0 0); 2θ 42.6, intensity 2, (3 1 1)

Record 7
# DyErRu2
Calculated X-ray diffraction stick pattern, Cu Kα, 1.54184 Å. Input: a cell relaxed with GGA-PBE.

Structure:
```
data_DyErRu2
_cell_length_a 6.7770
_cell_length_b 6.7770
_cell_length_c 6.7770
_cell_angle_alpha 90.00
_cell_angle_beta 90.00
_cell_angle_gamma 90.00
_space_group_name_H-M_alt 'F m -3 m'
_space_group_IT_number 225
_space_group_name_Hall '-F 4 2 3'
loop_
_atom_site_label
_atom_site_type_symbol
_atom_site_fract_x
_atom_site_fract_y
_atom_site_fract_z
Dy1 Dy 0.0000 0.0000 0.0000
Er1 Er 0.0000 0.0000 0.5000
Ru1 Ru 0.2500 0.2500 0.2500
```

Top 6 peaks for 5° ≤ 2θ ≤ 70°, in order of falling intensity:
2θ 37.5, intensity 100, (2 2 0); 2θ 67.7, intensity 35, (4 2 2); 2θ 54.1, intensity 17, (4 0 0); 2θ 26.3, intensity 6, (2 0 0); 2θ 61.2, intensity 3, (4 2 0); 2θ 46.4, intensity 2, (2 2 2)

Record 8
# HfBeSi
Calculated X-ray diffraction stick pattern, Cu Kα, 1.54184 Å. Input: a cell relaxed with GGA-PBE.

Structure:
```
data_HfBeSi
_cell_length_a 3.7080
_cell_length_b 3.7080
_cell_length_c 7.1347
_cell_angle_alpha 90.00
_cell_angle_beta 90.00
_cell_angle_gamma 120.00
_space_group_name_H-M_alt 'P 63/m m c'
_space_group_IT_number 194
_space_group_name_Hall '-P 6c 2c'
loop_
_atom_site_label
_atom_site_type_symbol
_atom_site_fract_x
_atom_site_fract_y
_atom_site_fract_z
Hf1 Hf 0.0000 0.0000 0.0000
Be1 Be 0.3333 0.6667 0.2500
Si1 Si 0.3333 0.6667 0.7500
```

Top 6 peaks for 5° ≤ 2θ ≤ 70°, in order of falling intensity:
2θ 37.7, intensity 100, (1 0 2); 2θ 27.8, intensity 74, (1 0 0); 2θ 49.1, intensity 28, (1 1 0); 2θ 25.0, intensity 25, (0 0 2); 2θ 63.5, intensity 22, (2 0 2); 2θ 59.3, intensity 18, (1 0 4)

Record 9
# LiYTl2
Calculated X-ray diffraction stick pattern, Cu Kα, 1.54184 Å. Input: a cell relaxed with GGA-PBE.

Structure:
```
data_LiYTl2
_cell_length_a 7.3663
_cell_length_b 7.3663
_cell_length_c 7.3663
_cell_angle_alpha 90.00
_cell_angle_beta 90.00
_cell_angle_gamma 90.00
_space_group_name_H-M_alt 'F m -3 m'
_space_group_IT_number 225
_space_group_name_Hall '-F 4 2 3'
loop_
_atom_site_label
_atom_site_type_symbol
_atom_site_fract_x
_atom_site_fract_y
_atom_site_fract_z
Li1 Li 0.0000 0.0000 0.0000
Y1 Y 0.0000 0.0000 0.5000
Tl1 Tl 0.2500 0.2500 0.2500
```

Top 6 peaks for 5° ≤ 2θ ≤ 70°, in order of falling intensity:
2θ 34.4, intensity 100, (2 2 0); 2θ 24.2, intensity 45, (2 0 0); 2θ 61.7, intensity 38, (4 2 2); 2θ 55.8, intensity 20, (4 2 0); 2θ 49.5, intensity 18, (4 0 0); 2θ 42.5, intensity 14, (2 2 2)

Record 10
# BaSrI4
Calculated X-ray diffraction stick pattern, Cu Kα, 1.54184 Å. Input: a cell relaxed with GGA-PBE.

Structure:
```
data_BaSrI4
_cell_length_a 8.2280
_cell_length_b 8.2280
_cell_length_c 16.4108
_cell_angle_alpha 90.00
_cell_angle_beta 90.00
_cell_angle_gamma 90.00
_space_group_name_H-M_alt 'I 41/a'
_space_group_IT_number 88
loop_
_space_group_symop_operation_xyz
'x,y,z'
'-x,-y,-z'
'-y+3/4,x+1/4,z+1/4'
'y+3/4,-x+1/4,-z+1/4'
'-x+1/2,-y,z+1/2'
'x+1/2,y,-z+1/2'
'y+3/4,-x+3/4,z+3/4'
'-y+3/4,x+3/4,-z+3/4'
'x+1/2,y+1/2,z+1/2'
'-x+1/2,-y+1/2,-z+1/2'
'-y+1/4,x+3/4,z+3/4'
'y+1/4,-x+3/4,-z+3/4'
'-x,-y+1/2,z'
'x,y+1/2,-z'
'y+1/4,-x+1/4,z+1/4'
'-y+1/4,x+1/4,-z+1/4'
loop_
_atom_site_label
_atom_site_type_symbol
_atom_site_fract_x
_atom_site_fract_y
_atom_site_fract_z
Ba1 Ba 0.0000 0.2500 0.1250
Sr1 Sr 0.0000 0.2500 0.6250
I1 I 0.2407 0.4977 0.4943
```

Top 6 peaks for 5° ≤ 2θ ≤ 70°, in order of falling intensity:
2θ 30.8, intensity 100, (2 2 0); 2θ 54.7, intensity 37, (4 2 4); 2θ 18.7, intensity 22, (1 1 2); 2θ 21.6, intensity 19, (2 0 0); 2θ 44.0, intensity 12, (4 0 0); 2θ 36.2, intensity 12, (3 1 2)

Record 11
# Si2Mo
Calculated X-ray diffraction stick pattern, Cu Kα, 1.54184 Å. Input: a cell relaxed with GGA-PBE.

Structure:
```
data_Si2Mo
_cell_length_a 4.6165
_cell_length_b 4.6165
_cell_length_c 6.6175
_cell_angle_alpha 90.00
_cell_angle_beta 90.00
_cell_angle_gamma 120.00
_space_group_name_H-M_alt 'P 62 2 2'
_space_group_IT_number 180
_space_group_name_Hall 'P 62 2 (0 0 4)'
loop_
_atom_site_label
_atom_site_type_symbol
_atom_site_fract_x
_atom_site_fract_y
_atom_site_fract_z
Si1 Si 0.1639 0.3279 0.0000
Mo1 Mo 0.0000 0.5000 0.6667
```

Top 6 peaks for 5° ≤ 2θ ≤ 70°, in order of falling intensity:
2θ 41.4, intensity 100, (1 1 1); 2θ 26.0, intensity 71, (1 0 1); 2θ 48.1, intensity 64, (1 1 2); 2θ 40.9, intensity 39, (0 0 3); 2θ 35.2, intensity 33, (1 0 2); 2θ 70.0, intensity 21, (1 1 4)

Repeat the second record exactly.
# Ba2PdN2
Calculated X-ray diffraction stick pattern, Cu Kα, 1.54184 Å. Input: a cell relaxed with GGA-PBE.

Structure:
```
data_Ba2PdN2
_cell_length_a 4.1556
_cell_length_b 4.1556
_cell_length_c 13.3623
_cell_angle_alpha 90.00
_cell_angle_beta 90.00
_cell_angle_gamma 90.00
_space_group_name_H-M_alt 'I 4/m m m'
_space_group_IT_number 139
_space_group_name_Hall '-I 4 2'
loop_
_atom_site_label
_atom_site_type_symbol
_atom_site_fract_x
_atom_site_fract_y
_atom_site_fract_z
Ba1 Ba 0.0000 0.0000 0.1459
Pd1 Pd 0.0000 0.0000 0.5000
N1 N 0.0000 0.0000 0.3548
```

Top 6 peaks for 5° ≤ 2θ ≤ 70°, in order of falling intensity:
2θ 29.4, intensity 100, (1 0 3); 2θ 30.4, intensity 69, (1 1 0); 2θ 53.4, intensity 38, (2 1 3); 2θ 43.6, intensity 25, (2 0 0); 2θ 51.5, intensity 19, (1 1 6); 2θ 61.0, intensity 11, (2 0 6)